[1]
Diffraction record for Np4MnSe7. The XRD peak list is simulated, not measured: it uses a cell relaxed with PBE and Cu Kα, 1.54184 Å.
Kinematic intensities with the Lorentz-polarization factor, no thermal factor.

Peak list (6 most intense, 2θ = 15–90°, by angle)
d (Å)  I_rel
3.812  100.0
3.704  88.7
2.909  87.0
2.793  68.1
2.711  63.2
2.211  60.9

Cell and atoms:
```
12
Lattice="6.5773 -1.9964 0.0000 6.5773 1.9964 0.0000 -2.9406 0.0000 11.4490" Properties=species:S:1:pos:R:3 pbc="T T T"
Np 0.0000 0.0000 0.0000
Np 0.4660 0.0000 8.7757
Np 6.7727 0.0000 4.1652
Np 10.2326 0.0000 6.2053
Mn 9.6398 0.0000 1.4190
Se 1.5548 0.0000 2.3915
Se 1.6486 0.0000 5.8213
Se 4.5978 0.0000 0.3516
Se 5.5526 0.0000 6.9861
Se 5.4941 0.0000 10.4485
Se 9.1317 0.0000 8.8069
Se 11.2986 0.0000 3.6246
```

[2]
Diffraction record for NpMn2Se4. The XRD peak list is simulated, not measured: it uses a cell relaxed with PBE and Cu Kα, 1.54184 Å.
Kinematic intensities with the Lorentz-polarization factor, no thermal factor.

Peak list (6 most intense, 2θ = 15–90°, by angle)
d (Å)  I_rel
5.606  49.6
3.496  37.9
2.822  36.8
2.786  37.8
2.774  100.0
2.593  59.9

Cell and atoms:
```
28
Lattice="3.8865 0.0000 0.0000 0.0000 12.5077 0.0000 0.0000 0.0000 12.6512" Properties=species:S:1:pos:R:3 pbc="T T T"
Np 0.9700 1.6857 3.1628
Np 0.9700 4.5681 9.4884
Np 2.9165 7.9396 3.1628
Np 2.9165 10.8220 9.4884
Mn 0.9735 7.7328 7.1506
Mn 0.9735 7.7328 11.8263
Mn 0.9735 11.0287 0.8250
Mn 0.9735 11.0287 5.5007
Mn 2.9130 1.4790 7.1506
Mn 2.9130 1.4790 11.8263
Mn 2.9130 4.7749 0.8250
Mn 2.9130 4.7749 5.5007
Se 0.9680 3.1269 0.0000
Se 0.9680 3.1269 6.3256
Se 0.9725 6.5558 1.4463
Se 0.9725 6.5558 4.8793
Se 0.9725 12.2058 7.7719
Se 0.9725 12.2058 11.2049
Se 0.9739 8.7069 9.4884
Se 0.9739 10.0546 3.1628
Se 2.9126 2.4531 9.4884
Se 2.9126 3.8008 3.1628
Se 2.9140 0.3019 1.4463
Se 2.9140 0.3019 4.8793
Se 2.9140 5.9519 7.7719
Se 2.9140 5.9519 11.2049
Se 2.9185 9.3808 0.0000
Se 2.9185 9.3808 6.3256
```

[3]
Diffraction record for NpMn2Tl2Se4. The XRD peak list is simulated, not measured: it uses a cell relaxed with PBE and Cu Kα, 1.54184 Å.
Kinematic intensities with the Lorentz-polarization factor, no thermal factor.

Peak list (6 most intense, 2θ = 15–90°, by angle)
d (Å)  I_rel
4.015  36.7
3.165  45.0
2.909  42.1
2.869  100.0
2.710  53.9
2.472  43.7

Cell and atoms:
```
9
Lattice="7.6833 -2.0889 0.0000 7.6833 2.0889 0.0000 -2.6072 0.0000 7.4747" Properties=species:S:1:pos:R:3 pbc="T T T"
Np 0.0000 0.0000 0.0000
Mn 4.8574 0.0000 0.1147
Mn 7.9020 0.0000 7.3600
Tl 0.5499 0.0000 4.2741
Tl 12.2095 0.0000 3.2006
Se 2.5922 0.0000 1.3034
Se 6.7315 0.0000 1.7743
Se 6.0279 0.0000 5.7004
Se 10.1671 0.0000 6.1712
```

[4]
Diffraction record for NpMn3Si3. The XRD peak list is simulated, not measured: it uses a cell relaxed with PBE and Cu Kα, 1.54184 Å.
Kinematic intensities with the Lorentz-polarization factor, no thermal factor.

Peak list (6 most intense, 2θ = 15–90°, by angle)
d (Å)  I_rel
4.462  39.2
3.155  43.2
2.576  100.0
1.686  55.9
1.411  15.5
1.152  16.4

Cell and atoms:
```
14
Lattice="6.3095 0.0000 0.0000 0.0000 6.3095 0.0000 0.0000 0.0000 6.3095" Properties=species:S:1:pos:R:3 pbc="T T T"
Np 0.0000 0.0000 0.0000
Np 3.1548 3.1548 3.1548
Mn 0.0000 1.5774 3.1548
Mn 0.0000 4.7321 3.1548
Mn 1.5774 3.1548 0.0000
Mn 3.1548 0.0000 1.5774
Mn 3.1548 0.0000 4.7321
Mn 4.7321 3.1548 0.0000
Si 0.0000 3.1548 1.5774
Si 0.0000 3.1548 4.7321
Si 1.5774 0.0000 3.1548
Si 3.1548 1.5774 0.0000
Si 3.1548 4.7321 0.0000
Si 4.7321 0.0000 3.1548
```